Entry 1:
For BaPF6, a DFT-relaxed cell (GGA-PBE, Alexandria) gives the theoretical X-ray diffraction stick pattern in this record (Cu Kα, 1.54184 Å).
Neutral-atom scattering factors, no anomalous dispersion.

Atomic structure:
```
BaPF6
1.0
3.2350 -3.7132 0.0000
3.2350 3.7132 0.0000
-1.1340 0.0000 4.8220
Ba P F
1 1 6
direct
0.0000 0.0000 0.0000 Ba
0.5000 0.5000 0.5000 P
0.2374 0.5755 0.2373 F
0.2380 0.2380 0.5709 F
0.4245 0.7626 0.7627 F
0.5755 0.2374 0.2373 F
0.7620 0.7620 0.4291 F
0.7626 0.4245 0.7627 F
```

Principal peaks in the range 15 to 90 degrees two-theta, sorted by position:
18.45°, I 45; 23.75°, I 100; 23.97°, I 48; 28.40°, I 85; 37.49°, I 39; 38.75°, I 29; 38.86°, I 30; 44.65°, I 34; 44.84°, I 48; 45.01°, I 40

Entry 2:
For Ba4Pb6F19, a DFT-relaxed cell (GGA-PBE, Alexandria) gives the theoretical X-ray diffraction stick pattern in this record (Cu Kα, 1.54184 Å).
Neutral-atom scattering factors, no anomalous dispersion.

Atomic structure:
```
Ba4Pb6F19
1.0
-5.4155 5.4155 5.4155
5.4155 -5.4155 5.4155
5.4155 5.4155 -5.4155
Ba Pb F
4 6 19
direct
0.0000 0.0000 0.2834 Ba
0.0000 0.2834 0.0000 Ba
0.2834 0.0000 0.0000 Ba
0.7166 0.7166 0.7166 Ba
0.1571 0.5000 0.6571 Pb
0.3429 0.8429 0.5000 Pb
0.5000 0.3429 0.8429 Pb
0.5000 0.6571 0.1571 Pb
0.6571 0.1571 0.5000 Pb
0.8429 0.5000 0.3429 Pb
0.0000 0.0000 0.0000 F
0.0000 0.2968 0.2968 F
0.0000 0.7032 0.7032 F
0.0429 0.7754 0.3816 F
0.2246 0.2675 0.6062 F
0.2675 0.6062 0.2246 F
0.2968 0.0000 0.2968 F
0.2968 0.2968 0.0000 F
0.3387 0.7325 0.9571 F
0.3816 0.0429 0.7754 F
0.3938 0.6613 0.6184 F
0.6062 0.2246 0.2675 F
0.6184 0.3938 0.6613 F
0.6613 0.6184 0.3938 F
0.7032 0.0000 0.7032 F
0.7032 0.7032 0.0000 F
0.7325 0.9571 0.3387 F
0.7754 0.3816 0.0429 F
0.9571 0.3387 0.7325 F
```

Principal peaks in the range 15 to 90 degrees two-theta, sorted by position:
16.37°, I 29; 20.08°, I 30; 26.02°, I 100; 28.55°, I 18; 30.89°, I 69; 40.81°, I 20; 42.56°, I 69; 50.56°, I 29; 57.73°, I 19; 75.51°, I 24